1.
Sb5O7F: computed powder X-ray diffraction pattern (a wavelength of 1.5418 Å), based on the PBE geometry in the Materials Project.

Main lines, in order of rising 2θ (2θ from 10° to 80°):
d = 7.832 Å, I = 23
d = 6.533 Å, I = 15
d = 3.147 Å, I = 100
d = 2.960 Å, I = 22
d = 2.705 Å, I = 14
d = 2.643 Å, I = 15
d = 2.611 Å, I = 20
d = 1.971 Å, I = 13
d = 1.958 Å, I = 21
d = 1.857 Å, I = 15
d = 1.743 Å, I = 16
d = 1.592 Å, I = 17

Structure:
```
52
Lattice="-2.643 7.832 11.842 2.643 -7.832 11.842 2.643 7.832 -11.842" Properties=species:S:1:pos:R:3 pbc="T T T"
Sb 2.986 1.244 -1.626
Sb 2.643 3.916 -4.779
Sb 2.823 6.555 -7.273
Sb -0.343 1.244 1.626
Sb 2.823 -1.277 7.273
Sb 2.823 1.277 4.569
Sb 2.300 6.589 -1.626
Sb 0.180 1.277 7.273
Sb 0.000 3.916 4.779
Sb 0.343 6.589 1.626
Sb 2.300 1.244 10.216
Sb 2.643 3.916 7.063
Sb 2.463 6.555 4.569
Sb 0.343 1.244 13.468
Sb -0.180 6.555 7.273
Sb -0.180 9.110 4.569
Sb 2.986 6.589 10.216
Sb -0.180 1.277 19.115
Sb 0.000 3.916 16.621
Sb -0.343 6.589 13.468
O 0.424 -0.602 1.355
O 1.192 -2.661 5.822
O 2.134 -1.158 3.616
O 3.835 -2.661 6.020
O 3.066 0.602 1.355
O 2.134 8.990 -8.226
O 1.092 0.000 5.921
O 3.735 0.000 5.921
O 2.134 6.675 -3.616
O 0.424 7.230 -1.355
O 3.835 2.661 5.822
O 2.134 1.158 8.226
O 1.192 2.661 6.020
O 0.424 0.602 10.487
O 2.219 7.230 1.355
O 1.451 5.171 5.822
O 0.508 6.675 3.616
O -1.192 5.171 6.020
O 2.219 0.602 13.197
O 0.508 1.158 15.458
O -1.092 7.832 5.921
O 1.551 7.832 5.921
O 0.508 -1.158 20.068
O -0.424 7.230 10.487
O -1.192 10.494 5.822
O 0.508 8.990 8.226
O 1.451 10.494 6.020
O 2.219 8.435 10.487
F 2.643 -3.916 8.204
F 2.643 3.916 3.638
F 0.000 3.916 8.204
F 0.000 11.749 3.638
```

2.
SbOF: computed powder X-ray diffraction pattern (a wavelength of 1.5418 Å), based on the PBE geometry in the Materials Project.

Main lines, in order of rising 2θ (2θ from 10° to 80°):
d = 4.158 Å, I = 60
d = 3.628 Å, I = 100
d = 3.403 Å, I = 65
d = 3.230 Å, I = 37
d = 2.641 Å, I = 31
d = 2.565 Å, I = 17
d = 2.489 Å, I = 15
d = 2.412 Å, I = 25
d = 2.183 Å, I = 18
d = 2.049 Å, I = 28
d = 2.038 Å, I = 25
d = 1.871 Å, I = 15

Structure:
```
24
Lattice="10.260 0.000 0.000 0.000 10.260 0.000 0.000 0.000 4.548" Properties=species:S:1:pos:R:3 pbc="T T T"
Sb 0.401 2.374 0.602
Sb 2.374 9.860 3.946
Sb 2.756 4.729 2.876
Sb 4.729 7.504 1.672
Sb 5.531 2.756 1.672
Sb 7.504 5.531 2.876
Sb 7.886 0.401 3.946
Sb 9.860 7.886 0.602
O 1.230 8.968 0.774
O 1.293 1.230 3.775
O 3.837 6.360 3.048
O 3.900 3.837 1.501
O 6.360 6.423 1.501
O 6.423 3.900 3.048
O 8.968 9.031 3.775
O 9.031 1.293 0.774
F 0.295 6.815 3.656
F 1.685 5.425 1.382
F 3.445 0.295 0.892
F 4.836 1.685 3.167
F 5.425 8.576 3.167
F 6.815 9.966 0.892
F 8.576 4.836 1.382
F 9.966 3.445 3.656
```

3.
SbO2F6: computed powder X-ray diffraction pattern (a wavelength of 1.5418 Å), based on the PBE geometry in the Materials Project.

Main lines, in order of rising 2θ (2θ from 10° to 80°):
d = 5.076 Å, I = 91
d = 3.589 Å, I = 100
d = 2.931 Å, I = 23
d = 2.270 Å, I = 27
d = 2.072 Å, I = 34
d = 1.795 Å, I = 17
d = 1.692 Å, I = 28
d = 1.605 Å, I = 13
d = 1.531 Å, I = 15
d = 1.408 Å, I = 13
d = 1.357 Å, I = 16
d = 1.231 Å, I = 14

Structure:
```
36
Lattice="-5.076 5.076 5.076 5.076 -5.076 5.076 5.076 5.076 -5.076" Properties=species:S:1:pos:R:3 pbc="T T T"
Sb 0.000 0.000 0.000
Sb 5.076 0.000 0.000
Sb 0.000 5.076 0.000
Sb 0.000 0.000 5.076
O 3.143 1.933 -1.933
O 7.010 -1.933 1.933
O 1.933 -1.933 3.143
O 1.933 1.933 1.933
O -1.933 3.143 1.933
O 1.933 7.010 -1.933
O 3.143 3.143 3.143
O -1.933 1.933 7.010
F 4.446 -1.144 1.416
F 1.416 -0.631 1.144
F 1.144 1.416 -0.631
F 6.492 0.631 1.144
F 3.932 1.416 0.631
F 4.446 3.932 -1.416
F -0.631 1.144 1.416
F 3.932 -1.416 4.446
F 1.416 4.446 -1.144
F 6.220 3.660 0.631
F 1.416 0.631 3.932
F 4.446 1.144 3.660
F 0.631 3.932 1.416
F 3.660 4.446 1.144
F -1.144 1.416 4.446
F 3.660 0.631 6.220
F 1.144 6.492 0.631
F 5.707 3.932 3.660
F 0.631 1.144 6.492
F 1.144 3.660 4.446
F -1.416 4.446 3.932
F 3.932 3.660 5.707
F 3.660 5.707 3.932
F 0.631 6.220 3.660
```

4.
SbOF: computed powder X-ray diffraction pattern (a wavelength of 1.5418 Å), based on the PBE geometry in the Materials Project.

Main lines, in order of rising 2θ (2θ from 10° to 80°):
d = 4.876 Å, I = 35
d = 4.464 Å, I = 40
d = 3.542 Å, I = 75
d = 3.383 Å, I = 100
d = 3.042 Å, I = 34
d = 2.696 Å, I = 31
d = 2.103 Å, I = 30
d = 2.083 Å, I = 39
d = 2.079 Å, I = 24
d = 1.967 Å, I = 22
d = 1.793 Å, I = 21
d = 1.472 Å, I = 25

Structure:
```
12
Lattice="8.928 0.000 0.000 0.000 4.157 0.000 0.000 0.000 5.820" Properties=species:S:1:pos:R:3 pbc="T T T"
Sb 0.618 1.039 1.193
Sb 3.846 3.118 4.103
Sb 5.082 1.039 1.718
Sb 8.310 3.118 4.628
O 0.457 3.118 0.528
O 4.007 1.039 3.439
O 4.921 3.118 2.382
O 8.471 1.039 5.292
F 2.044 3.118 3.242
F 2.420 1.039 0.331
F 6.508 3.118 5.489
F 6.885 1.039 2.579
```

5.
Sb3O2F5: computed powder X-ray diffraction pattern (a wavelength of 1.5418 Å), based on the PBE geometry in the Materials Project.

Main lines, in order of rising 2θ (2θ from 10° to 80°):
d = 6.221 Å, I = 18
d = 4.314 Å, I = 91
d = 3.536 Å, I = 100
d = 3.302 Å, I = 23
d = 3.156 Å, I = 15
d = 3.087 Å, I = 26
d = 2.588 Å, I = 23
d = 2.511 Å, I = 20
d = 2.431 Å, I = 25
d = 2.255 Å, I = 27
d = 2.036 Å, I = 26
d = 1.948 Å, I = 18

Structure:
```
40
Lattice="5.697 0.000 0.000 0.000 18.524 0.000 0.000 0.000 6.604" Properties=species:S:1:pos:R:3 pbc="T T T"
Sb 0.680 1.869 0.254
Sb 0.680 7.393 0.254
Sb 1.222 13.893 6.294
Sb 1.626 4.631 2.992
Sb 2.168 11.131 3.556
Sb 2.168 16.655 3.556
Sb 3.529 1.869 3.048
Sb 3.529 7.393 3.048
Sb 4.071 13.893 3.612
Sb 4.475 4.631 0.310
Sb 5.016 11.131 6.351
Sb 5.016 16.655 6.351
O 0.250 12.484 5.168
O 0.250 15.301 5.168
O 2.598 3.222 1.866
O 2.598 6.040 1.866
O 3.099 12.484 4.739
O 3.099 15.301 4.739
O 5.447 3.222 1.437
O 5.447 6.040 1.437
F 0.505 9.777 5.437
F 0.505 18.009 5.437
F 0.567 4.631 5.879
F 0.858 11.476 1.001
F 0.858 16.310 1.001
F 1.991 2.214 4.304
F 1.991 7.048 4.304
F 2.282 13.893 2.577
F 2.344 0.515 2.135
F 2.344 8.747 2.135
F 3.353 9.777 4.470
F 3.353 18.009 4.470
F 3.415 4.631 4.027
F 3.706 11.476 2.301
F 3.706 16.310 2.301
F 4.839 2.214 5.603
F 4.839 7.048 5.603
F 5.130 13.893 0.725
F 5.192 0.515 1.167
F 5.192 8.747 1.167
```

6.
SbOF3: computed powder X-ray diffraction pattern (a wavelength of 1.5418 Å), based on the PBE geometry in the Materials Project.

Main lines, in order of rising 2θ (2θ from 10° to 80°):
d = 6.920 Å, I = 17
d = 4.709 Å, I = 100
d = 4.374 Å, I = 57
d = 4.345 Å, I = 26
d = 3.564 Å, I = 11
d = 3.543 Å, I = 13
d = 3.460 Å, I = 16
d = 3.435 Å, I = 20
d = 3.114 Å, I = 27
d = 2.587 Å, I = 13
d = 2.187 Å, I = 14
d = 1.920 Å, I = 13

Structure:
```
20
Lattice="7.502 0.000 0.000 0.000 5.588 0.000 -3.663 0.000 8.749" Properties=species:S:1:pos:R:3 pbc="T T T"
Sb -0.385 0.418 4.321
Sb -2.217 2.376 8.695
Sb 6.056 3.212 0.054
Sb 4.224 5.170 4.428
O -3.347 4.055 8.664
O -1.516 4.327 4.290
O 5.355 1.261 4.459
O 7.186 1.533 0.084
F -1.458 2.846 7.028
F 0.373 5.536 2.653
F -1.221 0.763 8.665
F 0.611 2.031 4.290
F 2.443 2.981 1.425
F 0.612 5.401 5.799
F 3.227 0.187 2.949
F 1.396 2.607 7.323
F 3.228 3.557 4.458
F 5.060 4.825 0.084
F 3.466 0.052 6.095
F 5.297 2.742 1.721
```

> Number 1 is which compound?

Sb5O7F